(1)
Theoretical powder diffractogram
Compound: Tm4Ru
Radiation: copper Kα
Structure: a GGA-PBE-relaxed structure
Neutral-atom scattering factors, no anomalous dispersion.

Crystal structure
Lattice parameters (Å, degrees): 8.4577 8.4577 7.8153 90.00 90.00 90.00
Space group I-42d (No. 122)
Unique sites:
Tm 0.0136 0.6966 0.4190 x16
Ru 0.0000 0.0000 0.5000 x4

Main lines, in order of falling intensity (2θ = 10–90°):
two_theta, intensity
31.2, 100
33.8, 60
36.1, 41
29.9, 37
40.1, 30
55.6, 22

---

(2)
Theoretical powder diffractogram
Compound: Tm2URu2
Radiation: copper Kα
Structure: a GGA-PBE-relaxed structure
Neutral-atom scattering factors, no anomalous dispersion.

Crystal structure
Lattice parameters (Å, degrees): 9.9662 5.8129 7.6968 90.00 100.50 90.00
Space group C2/c (No. 15)
Unique sites:
Tm 0.1515 0.1332 0.1516 x8
U 0.0000 0.3484 0.7500 x4
Ru 0.1251 0.3661 0.5131 x8

Main lines, in order of falling intensity (2θ = 10–90°):
two_theta, intensity
33.0, 100
39.0, 67
38.4, 65
35.4, 63
32.4, 57
31.8, 40